Theoretical X-ray diffraction stick pattern
Compound: Zr2SiN
Radiation: CuKα
Structure: DFT lattice parameters and positions (GGA-PBE)

Largest 10 diffraction maxima, by intensity, 10° ≤ 2θ ≤ 90°:
(hkl)	2θ (°)	Rel. int.
1 0 3	37.6	100
1 1 0	56.5	23
1 0 0	31.7	21
1 0 1	32.4	20
0 0 2	13.1	18
2 0 3	69.8	15
1 1 6	71.5	15
0 0 6	40.1	14
1 0 6	52.0	14
0 0 4	26.4	12

Atomic structure:
a b c (Å): 3.259 3.259 13.500
angles (deg): 90.00 90.00 120.00
Fractional positions:
Zr (0.333, 0.667, 0.096)
Zr (0.333, 0.667, 0.404)
Zr (0.667, 0.333, 0.596)
Zr (0.667, 0.333, 0.904)
Si (0.333, 0.667, 0.750)
Si (0.667, 0.333, 0.250)
N (0.000, 0.000, 0.000)
N (0.000, 0.000, 0.500)

***

Theoretical X-ray diffraction stick pattern
Compound: HoErFe2Si2C
Radiation: CuKα
Structure: DFT lattice parameters and positions (GGA-PBE)

Largest 10 diffraction maxima, by intensity, 10° ≤ 2θ ≤ 90°:
(hkl)	2θ (°)	Rel. int.
1 1 -2	37.1	100
3 1 -1	34.6	78
1 1 0	25.3	54
4 0 -1	35.8	48
0 0 2	34.8	34
7 1 -3	66.8	28
0 2 0	46.5	27
2 0 -2	26.7	25
3 1 0	40.5	25
4 2 -1	60.0	21

Atomic structure:
a b c (Å): 10.519 3.910 6.687
angles (deg): 90.00 129.46 90.00
Fractional positions:
Ho (0.000, 0.000, 0.000)
Ho (0.500, 0.500, 0.000)
Er (0.382, 0.500, 0.414)
Er (0.882, 0.000, 0.414)
Fe (0.142, 0.500, 0.803)
Fe (0.239, 0.000, 0.610)
Fe (0.642, 0.000, 0.803)
Fe (0.739, 0.500, 0.610)
Si (0.102, 0.500, 0.421)
Si (0.280, 0.000, 0.993)
Si (0.602, 0.000, 0.421)
Si (0.780, 0.500, 0.993)
C (0.440, 0.000, 0.705)
C (0.940, 0.500, 0.705)

***

Theoretical X-ray diffraction stick pattern
Compound: Fe4Co2SiSn
Radiation: CuKα
Structure: DFT lattice parameters and positions (GGA-PBE)

Largest 10 diffraction maxima, by intensity, 10° ≤ 2θ ≤ 90°:
(hkl)	2θ (°)	Rel. int.
1 1 2	44.2	100
2 0 0	44.8	50
3 1 2	82.2	30
2 2 0	65.2	15
2 0 4	81.0	14
1 1 1	34.9	12
1 0 0	22.0	10
0 0 4	63.5	7
1 0 2	37.9	5
0 0 1	15.1	5

Atomic structure:
a b c (Å): 4.049 4.049 5.860
angles (deg): 90.00 90.00 90.00
Fractional positions:
Fe (0.000, 0.000, 0.000)
Fe (0.000, 0.500, 0.230)
Fe (0.500, 0.000, 0.770)
Fe (0.500, 0.500, 0.500)
Co (0.000, 0.500, 0.769)
Co (0.500, 0.000, 0.231)
Si (0.500, 0.500, 0.000)
Sn (0.000, 0.000, 0.500)

***

Number 2 is which compound? HoErFe2Si2C